This entry pairs a crystal structure of LiMnF3 with its theoretical powder diffractogram. Radiation: Cu Kα (λ = 1.5418 Å). Structure: a crystal structure in the Materials Project, relaxed with GGA+U.
Neutral-atom scattering factors, no anomalous dispersion.

Most intense lines, 2θ from 15° to 90°, in order of rising 2θ:
d 5.034, I 100, hkl 2 0 0
d 3.659, I 50, hkl 0 2 1
d 3.158, I 20, hkl 3 1 0
d 2.960, I 29, hkl 2 2 1
d 2.945, I 19, hkl 0 0 2
d 2.542, I 22, hkl 2 0 2
d 2.415, I 18, hkl 2 3 1
d 2.128, I 65, hkl 3 3 1
d 1.638, I 26, hkl 1 3 3
d 1.625, I 21, hkl 5 3 1

Atomic structure:
```
data_LiMnF3
_space_group_name_H-M_alt 'P b c n'
_space_group_IT_number 60
_cell_length_a 10.068
_cell_length_b 9.340
_cell_length_c 5.891
_cell_angle_alpha 90.00
_cell_angle_beta 90.00
_cell_angle_gamma 90.00
loop_
_space_group_symop_operation_xyz
'x,y,z'
'-x,-y,-z'
'-x+1/2,-y+1/2,z+1/2'
'x+1/2,y+1/2,-z+1/2'
'x+1/2,-y+1/2,-z'
'-x+1/2,y+1/2,z'
'-x,y,-z+1/2'
'x,-y,z+1/2'
loop_
_atom_site_label
_atom_site_type_symbol
_atom_site_fract_x
_atom_site_fract_y
_atom_site_fract_z
Li1 Li 0.203 0.080 0.049
Mn1 Mn 0.000 0.218 0.750
Mn2 Mn 0.000 0.406 0.250
F1 F 0.099 0.249 0.069
F2 F 0.104 0.413 0.586
F3 F 0.154 0.070 0.735
```

This entry pairs a crystal structure of LiMn2F5 with its theoretical powder diffractogram. Radiation: Cu Kα (λ = 1.5418 Å). Structure: a crystal structure in the Materials Project, relaxed with GGA+U.
Neutral-atom scattering factors, no anomalous dispersion.

Most intense lines, 2θ from 15° to 90°, in order of rising 2θ:
d 4.701, I 100, hkl 1 1 0
d 3.517, I 47, hkl 0 0 2
d 3.081, I 20, hkl 1 1 -2
d 2.866, I 31, hkl 3 1 0
d 2.671, I 38, hkl 3 1 -2
d 2.557, I 24, hkl 4 0 0
d 2.354, I 21, hkl 2 2 -1
d 1.846, I 29, hkl 4 2 -2
d 1.767, I 30, hkl 3 1 -4
d 1.521, I 22, hkl 1 3 2

Atomic structure:
```
data_LiMn2F5
_space_group_name_H-M_alt 'C 1 2/c 1'
_space_group_IT_number 15
_cell_length_a 11.028
_cell_length_b 5.293
_cell_length_c 7.584
_cell_angle_alpha 90.00
_cell_angle_beta 111.95
_cell_angle_gamma 90.00
loop_
_space_group_symop_operation_xyz
'x,y,z'
'-x,-y,-z'
'-x,y,-z+1/2'
'x,-y,z+1/2'
'x+1/2,y+1/2,z'
'-x+1/2,-y+1/2,-z'
'-x+1/2,y+1/2,-z+1/2'
'x+1/2,-y+1/2,z+1/2'
loop_
_atom_site_label
_atom_site_type_symbol
_atom_site_fract_x
_atom_site_fract_y
_atom_site_fract_z
Li1 Li 0.000 0.000 0.000
Mn1 Mn 0.132 0.493 0.224
F1 F 0.000 0.207 0.250
F2 F 0.083 0.332 0.947
F3 F 0.181 0.150 0.647
```

This entry pairs a crystal structure of LiMnF3 with its theoretical powder diffractogram. Radiation: Cu Kα (λ = 1.5418 Å). Structure: a crystal structure in the Materials Project, relaxed with GGA+U.
Neutral-atom scattering factors, no anomalous dispersion.

Most intense lines, 2θ from 15° to 90°, in order of rising 2θ:
d 5.495, I 73, hkl 0 1 1
d 3.945, I 57, hkl 0 2 0
d 3.848, I 49, hkl 2 1 1
d 3.617, I 100, hkl 0 1 -2
d 3.374, I 78, hkl 2 1 2
d 3.020, I 47, hkl 2 2 2
d 2.470, I 55, hkl 2 3 2
d 2.364, I 51, hkl 3 1 0
d 2.195, I 38, hkl 1 -2 3
d 2.083, I 44, hkl 2 0 4

Atomic structure:
```
data_LiMnF3
_space_group_name_H-M_alt 'P -1'
_space_group_IT_number 2
_cell_length_a 7.731
_cell_length_b 8.576
_cell_length_c 8.643
_cell_angle_alpha 83.36
_cell_angle_beta 67.34
_cell_angle_gamma 67.02
loop_
_space_group_symop_operation_xyz
'x,y,z'
'-x,-y,-z'
loop_
_atom_site_label
_atom_site_type_symbol
_atom_site_fract_x
_atom_site_fract_y
_atom_site_fract_z
Li1 Li 0.022 0.061 0.143
Li2 Li 0.182 0.540 0.945
Li3 Li 0.211 0.010 0.492
Li4 Li 0.363 0.107 0.120
Mn1 Mn 0.063 0.634 0.569
Mn2 Mn 0.232 0.193 0.777
Mn3 Mn 0.384 0.732 0.182
Mn4 Mn 0.498 0.304 0.357
F1 F 0.037 0.778 0.026
F2 F 0.084 0.821 0.355
F3 F 0.103 0.147 0.288
F4 F 0.129 0.469 0.764
F5 F 0.188 0.459 0.367
F6 F 0.249 0.932 0.718
F7 F 0.304 0.298 0.979
F8 F 0.311 0.183 0.512
F9 F 0.338 0.933 0.010
F10 F 0.352 0.655 0.506
F11 F 0.450 0.905 0.289
F12 F 0.454 0.536 0.843
```

This entry pairs a crystal structure of LiMn2F5 with its theoretical powder diffractogram. Radiation: Cu Kα (λ = 1.5418 Å). Structure: a crystal structure in the Materials Project, relaxed with GGA+U.
Neutral-atom scattering factors, no anomalous dispersion.

Most intense lines, 2θ from 15° to 90°, in order of rising 2θ:
d 5.368, I 52, hkl 0 2 0
d 3.916, I 41, hkl 2 0 2
d 3.727, I 46, hkl 2 2 -1
d 3.622, I 100, hkl 3 1 0
d 3.024, I 91, hkl 0 2 3
d 2.444, I 20, hkl 0 2 4
d 2.225, I 39, hkl 5 1 -1
d 2.164, I 48, hkl 0 4 3
d 1.924, I 32, hkl 6 0 0
d 1.604, I 21, hkl 5 3 -4

Atomic structure:
```
data_LiMn2F5
_space_group_name_H-M_alt 'C 1 2/c 1'
_space_group_IT_number 15
_cell_length_a 11.550
_cell_length_b 10.736
_cell_length_c 10.985
_cell_angle_alpha 90.00
_cell_angle_beta 91.83
_cell_angle_gamma 90.00
loop_
_space_group_symop_operation_xyz
'x,y,z'
'-x,-y,-z'
'-x,y,-z+1/2'
'x,-y,z+1/2'
'x+1/2,y+1/2,z'
'-x+1/2,-y+1/2,-z'
'-x+1/2,y+1/2,-z+1/2'
'x+1/2,-y+1/2,z+1/2'
loop_
_atom_site_label
_atom_site_type_symbol
_atom_site_fract_x
_atom_site_fract_y
_atom_site_fract_z
Li1 Li 0.000 0.154 0.250
Li2 Li 0.170 0.387 0.051
Mn1 Mn 0.016 0.139 0.938
Mn2 Mn 0.150 0.360 0.436
Mn3 Mn 0.183 0.317 0.750
F1 F 0.000 0.244 0.750
F2 F 0.007 0.047 0.112
F3 F 0.023 0.309 0.041
F4 F 0.145 0.242 0.281
F5 F 0.159 0.447 0.611
F6 F 0.166 0.194 0.574
F7 F 0.181 0.456 0.884
F8 F 0.187 0.181 0.894
```

This entry pairs a crystal structure of NaLi2MnF6 with its theoretical powder diffractogram. Radiation: Cu Kα (λ = 1.5418 Å). Structure: a crystal structure in the Materials Project, relaxed with GGA+U.
Neutral-atom scattering factors, no anomalous dispersion.

Most intense lines, 2θ from 15° to 90°, in order of rising 2θ:
d 4.723, I 28, hkl 1 1 1
d 4.090, I 100, hkl 2 0 0
d 2.892, I 17, hkl 2 2 0
d 2.466, I 6, hkl 3 1 1
d 2.045, I 46, hkl 4 0 0
d 1.829, I 34, hkl 4 2 0
d 1.670, I 7, hkl 4 2 2
d 1.446, I 24, hkl 4 4 0
d 1.363, I 13, hkl 6 0 0
d 1.181, I 7, hkl 4 4 4

Atomic structure:
```
data_NaLi2MnF6
_space_group_name_H-M_alt 'F m -3 m'
_space_group_IT_number 225
_space_group_name_Hall '-F 4 2 3'
_cell_length_a 8.180
_cell_length_b 8.180
_cell_length_c 8.180
_cell_angle_alpha 90.00
_cell_angle_beta 90.00
_cell_angle_gamma 90.00
loop_
_atom_site_label
_atom_site_type_symbol
_atom_site_fract_x
_atom_site_fract_y
_atom_site_fract_z
Na1 Na 0.000 0.000 0.000
Li1 Li 0.250 0.250 0.250
Mn1 Mn 0.000 0.000 0.500
F1 F 0.000 0.000 0.264
```

This entry pairs a crystal structure of LiMnOF2 with its theoretical powder diffractogram. Radiation: Cu Kα (λ = 1.5418 Å). Structure: a crystal structure in the Materials Project, relaxed with GGA+U.
Neutral-atom scattering factors, no anomalous dispersion.

Most intense lines, 2θ from 15° to 90°, in order of rising 2θ:
d 3.896, I 100, hkl 1 0 0
d 3.501, I 47, hkl -1 1 1
d 2.839, I 24, hkl 1 -1 1
d 2.694, I 34, hkl 1 0 -2
d 2.319, I 18, hkl 1 1 -2
d 2.301, I 16, hkl 1 -2 1
d 1.948, I 21, hkl 2 0 0
d 1.785, I 23, hkl 2 -1 1
d 1.752, I 25, hkl 1 1 -3
d 1.515, I 20, hkl 3 0 -2

Atomic structure:
```
data_LiMnOF2
_space_group_name_H-M_alt 'P 1'
_space_group_IT_number 1
_cell_length_a 5.075
_cell_length_b 5.076
_cell_length_c 5.439
_cell_angle_alpha 96.08
_cell_angle_beta 114.39
_cell_angle_gamma 116.30
loop_
_space_group_symop_operation_xyz
'x,y,z'
loop_
_atom_site_label
_atom_site_type_symbol
_atom_site_fract_x
_atom_site_fract_y
_atom_site_fract_z
Li1 Li 0.000 0.000 0.000
Li2 Li 0.077 0.575 0.503
Mn1 Mn 0.454 0.744 0.130
Mn2 Mn 0.459 0.250 0.629
O1 O 0.300 0.879 0.347
O2 O 0.540 0.621 0.845
F1 F 0.268 0.977 0.834
F2 F 0.602 0.489 0.378
F3 F 0.932 0.140 0.333
F4 F 0.963 0.351 0.877
```

This entry pairs a crystal structure of Li3MnOF4 with its theoretical powder diffractogram. Radiation: Cu Kα (λ = 1.5418 Å). Structure: a crystal structure in the Materials Project, relaxed with GGA+U.
Neutral-atom scattering factors, no anomalous dispersion.

Most intense lines, 2θ from 15° to 90°, in order of rising 2θ:
d 5.146, I 50, hkl 0 0 1
d 4.887, I 94, hkl 2 0 -1
d 3.782, I 59, hkl 2 0 0
d 3.367, I 100, hkl 1 1 0
d 3.346, I 43, hkl 2 0 -2
d 3.278, I 65, hkl 1 1 -1
d 2.401, I 73, hkl 2 0 1
d 2.110, I 56, hkl 4 0 -3
d 2.094, I 27, hkl 3 1 0
d 1.880, I 46, hkl 0 2 0

Atomic structure:
```
data_Li3MnOF4
_space_group_name_H-M_alt 'C 1 m 1'
_space_group_IT_number 8
_cell_length_a 9.848
_cell_length_b 3.760
_cell_length_c 6.701
_cell_angle_alpha 90.00
_cell_angle_beta 129.83
_cell_angle_gamma 90.00
loop_
_space_group_symop_operation_xyz
'x,y,z'
'x,-y,z'
'x+1/2,y+1/2,z'
'x+1/2,-y+1/2,z'
loop_
_atom_site_label
_atom_site_type_symbol
_atom_site_fract_x
_atom_site_fract_y
_atom_site_fract_z
Li1 Li 0.000 0.000 0.000
Li2 Li 0.110 0.500 0.746
Li3 Li 0.256 0.000 0.615
Mn1 Mn 0.297 0.500 0.320
O1 O 0.273 0.000 0.326
F1 F 0.019 0.500 0.943
F2 F 0.071 0.000 0.643
F3 F 0.257 0.500 0.588
F4 F 0.347 0.500 0.081
```